1.
Calculated powder diffractogram of LuNbO4 for Cu Kα (λ = 1.5418 Å), from a structure optimized by DFT (GGA-PBE).
Neutral-atom scattering factors, no anomalous dispersion.

Main lines, by angle (2θ = 10–90°):
| 2θ/deg | Rel. int. | h k l |
| --- | --- | --- |
| 17.5 | 12 | 1 0 0 |
| 28.5 | 100 | 1 1 -1 |
| 30.4 | 84 | 1 1 1 |
| 32.9 | 22 | 0 2 0 |
| 34.2 | 22 | 0 0 2 |
| 35.5 | 17 | 2 0 0 |
| 47.7 | 17 | 2 0 -2 |
| 48.2 | 26 | 0 2 2 |
| 49.1 | 26 | 2 2 0 |
| 52.5 | 13 | 2 0 2 |
| 56.7 | 16 | 1 1 -3 |
| 58.4 | 13 | 3 1 -1 |

Structure:
```
data_LuNbO4
_chemical_formula_sum 'Lu2 Nb2 O8'
_cell_length_a 5.0840
_cell_length_b 5.4524
_cell_length_c 5.2627
_cell_angle_alpha 90.00
_cell_angle_beta 95.15
_cell_angle_gamma 90.00
_symmetry_space_group_name_H-M 'P 1 2/c 1'
_symmetry_Int_Tables_number 13
_symmetry_space_group_name_Hall '-P 2yc'
loop_
_atom_site_label
_atom_site_type_symbol
_atom_site_fract_x
_atom_site_fract_y
_atom_site_fract_z
Lu1 Lu 0.0000 0.2353 0.2500
Nb1 Nb 0.5000 0.2950 0.7500
O1 O 0.2464 0.0783 0.5885
O2 O 0.2615 0.4353 0.9930
```

2.
Calculated powder diffractogram of LuNbO4 for Cu Kα (λ = 1.5418 Å), from a structure optimized by DFT (GGA-PBE).
Neutral-atom scattering factors, no anomalous dispersion.

Main lines, by angle (2θ = 10–90°):
| 2θ/deg | Rel. int. | h k l |
| --- | --- | --- |
| 19.3 | 15 | 1 1 -1 |
| 28.7 | 100 | 0 2 1 |
| 30.3 | 87 | 2 2 -1 |
| 32.8 | 23 | 0 4 0 |
| 34.2 | 21 | 2 0 0 |
| 35.4 | 17 | 2 0 -2 |
| 48.0 | 20 | 0 0 2 |
| 48.2 | 28 | 2 4 0 |
| 49.0 | 28 | 2 4 -2 |
| 56.1 | 13 | 0 6 1 |
| 57.0 | 31 | 2 2 1 |
| 58.6 | 15 | 2 2 -3 |

Structure:
```
data_LuNbO4
_chemical_formula_sum 'Lu4 Nb4 O16'
_cell_length_a 7.0314
_cell_length_b 10.9086
_cell_length_c 5.0877
_cell_angle_alpha 90.00
_cell_angle_beta 131.83
_cell_angle_gamma 90.00
_symmetry_space_group_name_H-M 'C 1 2/c 1'
_symmetry_Int_Tables_number 15
_symmetry_space_group_name_Hall '-C 2yc'
loop_
_atom_site_label
_atom_site_type_symbol
_atom_site_fract_x
_atom_site_fract_y
_atom_site_fract_z
Lu1 Lu 0.0000 0.1287 0.2500
Nb1 Nb 0.0000 0.3927 0.7500
O1 O 0.1632 0.2877 0.6591
O2 O 0.2481 0.0313 0.7852
```

3.
Calculated powder diffractogram of Lu2Nb2O7 for Cu Kα (λ = 1.5418 Å), from a structure optimized by DFT (GGA-PBE).
Neutral-atom scattering factors, no anomalous dispersion.

Main lines, by angle (2θ = 10–90°):
| 2θ/deg | Rel. int. | h k l |
| --- | --- | --- |
| 15.0 | 10 | 1 1 1 |
| 28.9 | 4 | 3 1 1 |
| 30.2 | 100 | 2 2 2 |
| 35.0 | 32 | 4 0 0 |
| 38.3 | 6 | 3 3 1 |
| 50.4 | 49 | 4 4 0 |
| 52.9 | 3 | 5 3 1 |
| 59.9 | 43 | 6 2 2 |
| 62.9 | 9 | 4 4 4 |
| 74.1 | 7 | 8 0 0 |
| 82.0 | 17 | 6 6 2 |
| 84.6 | 13 | 8 4 0 |

Structure:
Unit cell a=10.2416 b=10.2416 c=10.2416 alpha=90.00 beta=90.00 gamma=90.00
Space group Fd-3m (No. 227, origin choice 2)
Inequivalent atoms, fractional coordinates:
Lu  0.0000  0.0000  0.0000
Nb  0.0000  0.0000  0.5000
O  0.0993  0.3750  0.8750
O  0.1250  0.1250  0.1250

4.
Calculated powder diffractogram of LuNbO4 for Cu Kα (λ = 1.5418 Å), from a structure optimized by DFT (GGA-PBE).
Neutral-atom scattering factors, no anomalous dispersion.

Main lines, by angle (2θ = 10–90°):
| 2θ/deg | Rel. int. | h k l |
| --- | --- | --- |
| 13.0 | 55 | 0 0 1 |
| 13.9 | 86 | 2 0 0 |
| 23.3 | 100 | 1 1 0 |
| 26.2 | 88 | 0 0 2 |
| 27.1 | 70 | 4 0 -1 |
| 27.8 | 47 | 1 1 1 |
| 30.7 | 62 | 3 1 0 |
| 33.7 | 43 | 1 1 -2 |
| 35.9 | 40 | 3 1 1 |
| 36.3 | 43 | 3 1 -2 |
| 45.4 | 39 | 0 2 0 |
| 53.2 | 62 | 7 1 -1 |

Structure:
```
data_LuNbO4
_chemical_formula_sum 'Lu4 Nb4 O16'
_cell_length_a 13.3672
_cell_length_b 3.9975
_cell_length_c 7.1291
_cell_angle_alpha 90.00
_cell_angle_beta 107.31
_cell_angle_gamma 90.00
_symmetry_space_group_name_H-M 'C 1 2/m 1'
_symmetry_Int_Tables_number 12
_symmetry_space_group_name_Hall '-C 2y'
loop_
_atom_site_label
_atom_site_type_symbol
_atom_site_fract_x
_atom_site_fract_y
_atom_site_fract_z
Lu1 Lu 0.1957 0.0000 0.2955
Nb1 Nb 0.1009 0.0000 0.7140
O1 O 0.0490 0.0000 0.3676
O2 O 0.1300 0.5000 0.6995
O3 O 0.1328 0.0000 0.9821
O4 O 0.2457 0.0000 0.6414
```